1.
Ba2CaWO6: computed XRD peak list (Cu Kα), based on a structure optimized by DFT (PBE+U).
Neutral-atom scattering factors, no anomalous dispersion.

Cell and atoms:
```
data_Ba2CaWO6
_cell_length_a 8.5237
_cell_length_b 8.5237
_cell_length_c 8.5237
_cell_angle_alpha 90.00
_cell_angle_beta 90.00
_cell_angle_gamma 90.00
_space_group_name_H-M_alt 'F m -3 m'
_space_group_IT_number 225
_space_group_name_Hall '-F 4 2 3'
loop_
_atom_site_label
_atom_site_fract_x
_atom_site_fract_y
_atom_site_fract_z
_atom_site_occupancy
Ba1 0.2500 0.2500 0.2500 1
Ca1 0.0000 0.0000 0.0000 1
W1 0.0000 0.0000 0.5000 1
O1 0.0000 0.0000 0.2702 1
```

Largest 11 diffraction maxima, in order of falling intensity, 5 to 70 degrees two-theta:
| two_theta | I/Imax | hkl |
| --- | --- | --- |
| 29.64 | 100 | 2 2 0 |
| 52.60 | 40 | 4 2 2 |
| 42.42 | 30 | 4 0 0 |
| 18.03 | 24 | 1 1 1 |
| 61.55 | 19 | 4 4 0 |
| 69.78 | 18 | 6 2 0 |
| 34.91 | 11 | 3 1 1 |
| 56.06 | 5 | 5 1 1 |
| 64.70 | 5 | 5 3 1 |
| 46.44 | 4 | 3 3 1 |
| 36.52 | 3 | 2 2 2 |



2.
AlCr2O4: computed XRD peak list (Cu Kα), based on a structure optimized by DFT (PBE+U).
Neutral-atom scattering factors, no anomalous dispersion.

Cell and atoms:
```
data_AlCr2O4
_cell_length_a 5.9652
_cell_length_b 5.9652
_cell_length_c 14.7283
_cell_angle_alpha 90.00
_cell_angle_beta 90.00
_cell_angle_gamma 120.00
_space_group_name_H-M_alt 'R -3 m'
_space_group_IT_number 166
_space_group_name_Hall '-R 3 2"'
loop_
_atom_site_label
_atom_site_fract_x
_atom_site_fract_y
_atom_site_fract_z
_atom_site_occupancy
Al1 0.0000 0.0000 0.1237 1
Cr1 0.0000 0.0000 0.5000 1
Cr2 0.0000 0.5000 0.0000 1
O1 0.0000 0.0000 0.2462 1
O2 0.0040 0.5020 0.2508 1
```

Largest 12 diffraction maxima, in order of falling intensity, 5 to 70 degrees two-theta:
| two_theta | I/Imax | hkl |
| --- | --- | --- |
| 35.23 | 100 | 1 1 3 |
| 42.76 | 71 | 0 2 4 |
| 18.20 | 41 | 1 0 1 |
| 61.89 | 37 | 2 0 8 |
| 62.25 | 37 | 2 2 0 |
| 35.07 | 31 | 0 1 5 |
| 56.60 | 30 | 0 3 3 |
| 18.07 | 14 | 0 0 3 |
| 36.88 | 10 | 2 0 2 |
| 29.80 | 7 | 1 0 4 |
| 29.96 | 7 | 1 1 0 |
| 56.40 | 7 | 0 2 7 |



3.
Li2FeCo3O8: computed XRD peak list (Cu Kα), based on a structure optimized by DFT (PBE+U).
Neutral-atom scattering factors, no anomalous dispersion.

Cell and atoms:
```
data_Li2FeCo3O8
_cell_length_a 5.6493
_cell_length_b 5.6493
_cell_length_c 9.0887
_cell_angle_alpha 90.00
_cell_angle_beta 90.00
_cell_angle_gamma 120.00
_space_group_name_H-M_alt 'P 63 m c'
_space_group_IT_number 186
_space_group_name_Hall 'P 6c -2c'
loop_
_atom_site_label
_atom_site_fract_x
_atom_site_fract_y
_atom_site_fract_z
_atom_site_occupancy
Li1 0.0000 0.0000 0.0000 1
Li2 0.3333 0.6667 0.3963 1
Fe1 0.3333 0.6667 0.9922 1
Co1 0.1709 0.3417 0.7148 1
O1 0.0000 0.0000 0.3076 1
O2 0.0439 0.5220 0.8432 1
O3 0.1679 0.3357 0.1015 1
O4 0.3333 0.6667 0.6093 1
```

Largest 12 diffraction maxima, in order of falling intensity, 5 to 70 degrees two-theta:
| two_theta | I/Imax | hkl |
| --- | --- | --- |
| 20.62 | 100 | 1 0 1 |
| 19.53 | 64 | 0 0 2 |
| 38.10 | 56 | 2 0 1 |
| 47.79 | 56 | 2 0 3 |
| 37.49 | 50 | 1 1 2 |
| 63.79 | 43 | 2 0 5 |
| 66.17 | 37 | 2 2 0 |
| 34.83 | 36 | 1 0 3 |
| 41.94 | 36 | 2 0 2 |
| 26.77 | 29 | 1 0 2 |
| 55.17 | 20 | 2 0 4 |
| 58.47 | 19 | 2 1 3 |



4.
V3CrO10: computed XRD peak list (Cu Kα), based on a structure optimized by DFT (PBE+U).
Neutral-atom scattering factors, no anomalous dispersion.

Cell and atoms:
```
data_V3CrO10
_cell_length_a 9.3088
_cell_length_b 9.3088
_cell_length_c 9.1395
_cell_angle_alpha 90.00
_cell_angle_beta 90.00
_cell_angle_gamma 90.00
_space_group_name_H-M_alt 'I -4'
_space_group_IT_number 82
loop_
_space_group_symop_operation_xyz
'x,y,z'
'y,-x,-z'
'-x,-y,z'
'-y,x,-z'
'x+1/2,y+1/2,z+1/2'
'y+1/2,-x+1/2,-z+1/2'
'-x+1/2,-y+1/2,z+1/2'
'-y+1/2,x+1/2,-z+1/2'
loop_
_atom_site_label
_atom_site_fract_x
_atom_site_fract_y
_atom_site_fract_z
_atom_site_occupancy
V1 0.0000 0.0000 0.0000 1
V2 0.0000 0.0000 0.5000 1
V3 0.2498 0.2495 0.0586 1
Cr1 0.0000 0.5000 0.0005 1
O1 0.1069 0.3909 0.1070 1
O2 0.1074 0.6088 0.8929 1
O3 0.1088 0.1089 0.1082 1
O4 0.1092 0.8903 0.3928 1
O5 0.2490 0.2487 0.8822 1
```

Largest 12 diffraction maxima, in order of falling intensity, 5 to 70 degrees two-theta:
| two_theta | I/Imax | hkl |
| --- | --- | --- |
| 27.09 | 100 | 2 2 0 |
| 19.42 | 88 | 0 0 2 |
| 33.56 | 62 | 2 2 2 |
| 23.70 | 36 | 1 1 2 |
| 55.87 | 21 | 4 4 0 |
| 43.65 | 20 | 4 0 2 |
| 66.77 | 13 | 6 2 2 |
| 41.85 | 13 | 1 1 4 |
| 45.88 | 13 | 3 3 2 |
| 59.73 | 12 | 4 4 2 |
| 56.44 | 12 | 4 0 4 |
| 63.17 | 12 | 6 2 0 |



5.
TmCrO3: computed XRD peak list (Cu Kα), based on a structure optimized by DFT (PBE+U).
Neutral-atom scattering factors, no anomalous dispersion.

Cell and atoms:
```
data_TmCrO3
_cell_length_a 3.8337
_cell_length_b 3.8337
_cell_length_c 3.8337
_cell_angle_alpha 90.00
_cell_angle_beta 90.00
_cell_angle_gamma 90.00
_space_group_name_H-M_alt 'P m -3 m'
_space_group_IT_number 221
_space_group_name_Hall '-P 4 2 3'
loop_
_atom_site_label
_atom_site_fract_x
_atom_site_fract_y
_atom_site_fract_z
_atom_site_occupancy
Tm1 0.0000 0.0000 0.0000 1
Cr1 0.5000 0.5000 0.5000 1
O1 0.0000 0.5000 0.5000 1
```

Largest 7 diffraction maxima, in order of falling intensity, 5 to 70 degrees two-theta:
| two_theta | I/Imax | hkl |
| --- | --- | --- |
| 33.04 | 100 | 1 1 0 |
| 59.02 | 38 | 2 1 1 |
| 47.43 | 30 | 2 0 0 |
| 23.20 | 26 | 1 0 0 |
| 40.77 | 24 | 1 1 1 |
| 69.33 | 18 | 2 2 0 |
| 53.44 | 13 | 2 1 0 |



6.
Fe10O9F11: computed XRD peak list (Cu Kα), based on a structure optimized by DFT (PBE+U).
Neutral-atom scattering factors, no anomalous dispersion.

Cell and atoms:
```
data_Fe10O9F11
_cell_length_a 4.7547
_cell_length_b 15.5050
_cell_length_c 4.7663
_cell_angle_alpha 90.00
_cell_angle_beta 92.18
_cell_angle_gamma 90.00
_space_group_name_H-M_alt 'P 1 m 1'
_space_group_IT_number 6
loop_
_space_group_symop_operation_xyz
'x,y,z'
'x,-y,z'
loop_
_atom_site_label
_atom_site_fract_x
_atom_site_fract_y
_atom_site_fract_z
_atom_site_occupancy
Fe1 0.0000 0.0000 0.0000 1
Fe2 0.0177 0.1971 0.9885 1
Fe3 0.5257 0.2977 0.4937 1
Fe4 0.5472 0.1120 0.4517 1
Fe5 0.5666 0.5000 0.4719 1
Fe6 0.9947 0.4090 0.9624 1
O1 0.3255 0.2031 0.2794 1
O2 0.7088 0.3969 0.6592 1
O3 0.7253 0.2009 0.6789 1
O4 0.8216 0.5000 0.1747 1
O5 0.8350 0.0983 0.1682 1
F1 0.2124 0.2994 0.7865 1
F2 0.2221 0.0951 0.7805 1
F3 0.2367 0.5000 0.7575 1
F4 0.3191 0.3990 0.2689 1
F5 0.3392 0.0000 0.2811 1
F6 0.7189 0.0000 0.6625 1
F7 0.8240 0.2994 0.1716 1
```

Largest 12 diffraction maxima, in order of falling intensity, 5 to 70 degrees two-theta:
| two_theta | I/Imax | hkl |
| --- | --- | --- |
| 34.53 | 100 | 0 5 1 |
| 25.98 | 99 | 1 0 -1 |
| 27.01 | 96 | 1 0 1 |
| 51.56 | 59 | 1 5 -2 |
| 52.71 | 55 | 1 5 2 |
| 66.13 | 30 | 0 5 3 |
| 66.27 | 19 | 3 5 0 |
| 39.16 | 19 | 1 5 -1 |
| 53.43 | 18 | 2 0 -2 |
| 59.63 | 17 | 0 10 0 |
| 39.88 | 17 | 1 5 1 |
| 55.68 | 16 | 2 0 2 |